Entry 1:
Simulated powder diffraction line list of NaAu2 for Cu Kα, 1.54184 Å, from a GGA-PBE-relaxed structure.
Kinematic intensities with the Lorentz-polarization factor, no thermal factor.

Most intense lines, 10 to 90 degrees two-theta, sorted by position:
| 2θ/deg | I/Imax |
| --- | --- |
| 19.36 | 100.0 |
| 37.56 | 83.9 |
| 39.30 | 83.8 |
| 45.70 | 36.4 |
| 66.61 | 30.3 |
| 80.17 | 33.2 |

Structure:
a = 5.6157 Å, b = 5.6157 Å, c = 5.6157 Å
α = 60.00°, β = 60.00°, γ = 60.00°
Positions (direct):
Na1 0.1250 0.1250 0.1250
Na2 0.8750 0.8750 0.8750
Au1 0.0000 0.5000 0.5000
Au2 0.5000 0.0000 0.5000
Au3 0.5000 0.5000 0.0000
Au4 0.5000 0.5000 0.5000

***

Entry 2:
Simulated powder diffraction line list of NaNb2SnAu for Cu Kα, 1.54184 Å, from a GGA-PBE-relaxed structure.
Kinematic intensities with the Lorentz-polarization factor, no thermal factor.

Most intense lines, 10 to 90 degrees two-theta, sorted by position:
| 2θ/deg | I/Imax |
| --- | --- |
| 16.55 | 39.0 |
| 17.21 | 100.0 |
| 33.45 | 33.6 |
| 34.83 | 60.3 |
| 37.85 | 29.4 |
| 49.06 | 45.8 |

Structure:
a = 5.1518 Å, b = 5.1518 Å, c = 5.3579 Å
α = 90.00°, β = 90.00°, γ = 90.00°
Positions (direct):
Na1 0.0000 0.0000 0.0000
Nb1 0.0000 0.5000 0.5000
Nb2 0.5000 0.0000 0.5000
Sn1 0.5000 0.5000 0.0000
Au1 0.5000 0.5000 0.5000

***

Entry 3:
Simulated powder diffraction line list of NaNdAuS2 for Cu Kα, 1.54184 Å, from a GGA-PBE-relaxed structure.
Kinematic intensities with the Lorentz-polarization factor, no thermal factor.

Most intense lines, 10 to 90 degrees two-theta, sorted by position:
| 2θ/deg | I/Imax |
| --- | --- |
| 13.80 | 100.0 |
| 27.81 | 19.5 |
| 28.63 | 34.2 |
| 31.91 | 83.0 |
| 37.12 | 21.5 |
| 44.71 | 20.2 |

Structure:
a = 6.4153 Å, b = 5.2310 Å, c = 7.7683 Å
α = 90.00°, β = 90.18°, γ = 90.00°
Positions (direct):
Na1 0.0000 0.0020 0.2500
Na2 0.0000 0.9980 0.7500
Nd1 0.5000 0.5003 0.2500
Nd2 0.5000 0.4997 0.7500
Au1 0.5000 0.0000 0.0000
Au2 0.5000 0.0000 0.5000
S1 0.2229 0.3073 0.9994
S2 0.2229 0.6927 0.4994
S3 0.7771 0.3073 0.5006
S4 0.7771 0.6927 0.0006

***

Entry 4:
Simulated powder diffraction line list of NaNpAu4 for Cu Kα, 1.54184 Å, from a GGA-PBE-relaxed structure.
Kinematic intensities with the Lorentz-polarization factor, no thermal factor.

Most intense lines, 10 to 90 degrees two-theta, sorted by position:
| 2θ/deg | I/Imax |
| --- | --- |
| 19.27 | 31.9 |
| 37.39 | 100.0 |
| 39.12 | 56.0 |
| 60.29 | 34.0 |
| 66.28 | 29.7 |
| 79.75 | 22.3 |

Structure:
a = 5.6403 Å, b = 5.6403 Å, c = 5.6403 Å
α = 60.00°, β = 60.00°, γ = 60.00°
Positions (direct):
Na1 0.0000 0.0000 0.0000
Np1 0.7500 0.7500 0.7500
Au1 0.3745 0.3745 0.3745
Au2 0.3745 0.3745 0.8764
Au3 0.3745 0.8764 0.3745
Au4 0.8764 0.3745 0.3745

***

Entry 5:
Simulated powder diffraction line list of NaNpAuO6 for Cu Kα, 1.54184 Å, from a GGA-PBE-relaxed structure.
Kinematic intensities with the Lorentz-polarization factor, no thermal factor.

Most intense lines, 10 to 90 degrees two-theta, sorted by position:
| 2θ/deg | I/Imax |
| --- | --- |
| 16.94 | 100.0 |
| 18.86 | 50.7 |
| 25.45 | 74.2 |
| 32.97 | 54.1 |
| 37.29 | 77.4 |
| 48.29 | 56.5 |

Structure:
a = 5.4340 Å, b = 5.4340 Å, c = 10.4675 Å
α = 90.00°, β = 90.00°, γ = 120.00°
Positions (direct):
Na1 0.0000 0.0000 0.0000
Na2 0.0000 0.0000 0.5000
Np1 0.3333 0.6667 0.2500
Np2 0.6667 0.3333 0.7500
Au1 0.3333 0.6667 0.7500
Au2 0.6667 0.3333 0.2500
O1 0.0057 0.3620 0.1430
O2 0.0057 0.6437 0.3570
O3 0.3563 0.3620 0.3570
O4 0.3563 0.9943 0.1430
O5 0.3620 0.0057 0.6430
O6 0.3620 0.3563 0.8570
O7 0.6380 0.6437 0.1430
O8 0.6380 0.9943 0.3570
O9 0.6437 0.0057 0.8570
O10 0.6437 0.6380 0.6430
O11 0.9943 0.3563 0.6430
O12 0.9943 0.6380 0.8570

***

Entry 6:
Simulated powder diffraction line list of Na2NpAuO6 for Cu Kα, 1.54184 Å, from a GGA-PBE-relaxed structure.
Kinematic intensities with the Lorentz-polarization factor, no thermal factor.

Most intense lines, 10 to 90 degrees two-theta, sorted by position:
| 2θ/deg | I/Imax |
| --- | --- |
| 17.49 | 62.9 |
| 23.30 | 65.8 |
| 29.28 | 100.0 |
| 31.49 | 18.9 |
| 42.81 | 23.9 |
| 51.12 | 19.0 |

Structure:
a = 6.3579 Å, b = 6.3579 Å, c = 5.1557 Å
α = 113.90°, β = 113.90°, γ = 53.09°
Positions (direct):
Na1 0.2464 0.2464 0.1829
Na2 0.7536 0.7536 0.8171
Np1 0.5000 0.5000 0.0000
Au1 0.0000 0.0000 0.5000
O1 0.1631 0.6817 0.1800
O2 0.3183 0.8369 0.8200
O3 0.3335 0.3335 0.6833
O4 0.6665 0.6665 0.3167
O5 0.6817 0.1631 0.1800
O6 0.8369 0.3183 0.8200

***

Entry 7:
Simulated powder diffraction line list of Na4Np3Te8Au for Cu Kα, 1.54184 Å, from a GGA-PBE-relaxed structure.
Kinematic intensities with the Lorentz-polarization factor, no thermal factor.

Most intense lines, 10 to 90 degrees two-theta, sorted by position:
| 2θ/deg | I/Imax |
| --- | --- |
| 11.80 | 81.7 |
| 27.62 | 54.2 |
| 28.38 | 100.0 |
| 39.81 | 38.6 |
| 40.23 | 39.4 |
| 50.63 | 29.1 |

Structure:
a = 8.9736 Å, b = 8.9736 Å, c = 9.1141 Å
α = 119.82°, β = 119.82°, γ = 57.92°
Positions (direct):
Na1 0.0000 0.0000 0.0000
Na2 0.0000 0.5000 0.0000
Na3 0.5000 0.0000 0.0000
Na4 0.5000 0.5000 0.0000
Np1 0.0000 0.0000 0.5000
Np2 0.0000 0.5000 0.5000
Np3 0.5000 0.0000 0.5000
Te1 0.2397 0.2397 0.2541
Te2 0.2421 0.2421 0.7349
Te3 0.2568 0.7259 0.7179
Te4 0.2741 0.7432 0.2821
Te5 0.7259 0.2568 0.7179
Te6 0.7432 0.2741 0.2821
Te7 0.7579 0.7579 0.2651
Te8 0.7603 0.7603 0.7459
Au1 0.5000 0.5000 0.5000

***

Entry 8:
Simulated powder diffraction line list of Na3AuO3 for Cu Kα, 1.54184 Å, from a GGA-PBE-relaxed structure.
Kinematic intensities with the Lorentz-polarization factor, no thermal factor.

Most intense lines, 10 to 90 degrees two-theta, sorted by position:
| 2θ/deg | I/Imax |
| --- | --- |
| 13.03 | 55.3 |
| 20.67 | 52.4 |
| 21.60 | 100.0 |
| 23.53 | 30.3 |
| 32.90 | 75.6 |
| 37.43 | 47.0 |

Structure:
a = 9.6102 Å, b = 9.6102 Å, c = 4.5512 Å
α = 90.00°, β = 90.00°, γ = 90.00°
Positions (direct):
Na1 0.1198 0.3714 0.0000
Na2 0.1286 0.6198 0.5000
Na3 0.1477 0.1477 0.5000
Na4 0.3523 0.6477 0.0000
Na5 0.3714 0.1198 0.0000
Na6 0.3802 0.8714 0.5000
Na7 0.6198 0.1286 0.5000
Na8 0.6286 0.8802 0.0000
Na9 0.6477 0.3523 0.0000
Na10 0.8523 0.8523 0.5000
Na11 0.8714 0.3802 0.5000
Na12 0.8802 0.6286 0.0000
Au1 0.1158 0.8842 0.0000
Au2 0.3842 0.3842 0.5000
Au3 0.6158 0.6158 0.5000
Au4 0.8842 0.1158 0.0000
O1 0.1017 0.1017 0.0000
O2 0.1141 0.6737 0.0000
O3 0.1737 0.3859 0.5000
O4 0.3263 0.8859 0.0000
O5 0.3859 0.1737 0.5000
O6 0.3983 0.6017 0.5000
O7 0.6017 0.3983 0.5000
O8 0.6141 0.8263 0.5000
O9 0.6737 0.1141 0.0000
O10 0.8263 0.6141 0.5000
O11 0.8859 0.3263 0.0000
O12 0.8983 0.8983 0.0000